1.
Computed powder diffractogram
Compound: ReNiBP2
Radiation: λ = 1.5418 Å (Cu Kα)
Structure: a PBE-relaxed structure

```
10
Lattice="7.708 0.000 0.000 0.000 3.066 0.000 -3.309 0.000 5.444" Properties=species:S:1:pos:R:3 pbc="T T T"
Re 0.000 0.000 0.000
Re 3.854 1.533 0.000
Ni 2.121 0.000 1.744
Ni 5.975 1.533 1.744
B -1.101 0.000 5.122
B 2.754 1.533 5.122
P -1.757 1.533 4.029
P 0.474 1.533 1.839
P 2.097 0.000 4.029
P 4.329 0.000 1.839
```

Peak list (10 most intense, 2θ = 5–70°, sorted by position)
| 2θ/deg | d (Å) | intensity |
| --- | --- | --- |
| 16.28 | 5.444 | 100.0 |
| 27.07 | 3.294 | 46.9 |
| 29.80 | 2.998 | 37.0 |
| 32.80 | 2.730 | 86.7 |
| 38.61 | 2.332 | 29.6 |
| 39.50 | 2.282 | 35.9 |
| 41.01 | 2.201 | 49.9 |
| 46.35 | 1.959 | 48.8 |
| 47.41 | 1.918 | 23.7 |
| 51.91 | 1.761 | 29.1 |

2.
Computed powder diffractogram
Compound: PaNi7B2
Radiation: λ = 1.5418 Å (Cu Kα)
Structure: a PBE-relaxed structure

```
10
Lattice="3.163 -5.042 0.000 3.163 5.042 0.000 0.000 0.000 3.932" Properties=species:S:1:pos:R:3 pbc="T T T"
Pa 0.000 0.000 0.000
Ni 1.227 1.382 1.966
Ni 3.163 2.313 0.000
Ni 1.227 -1.382 1.966
Ni 3.163 0.000 1.966
Ni 5.099 1.382 1.966
Ni 3.163 -2.313 0.000
Ni 5.099 -1.382 1.966
B 3.163 1.975 1.966
B 3.163 -1.975 1.966
```

Peak list (10 most intense, 2θ = 5–70°, sorted by position)
| 2θ/deg | d (Å) | intensity |
| --- | --- | --- |
| 16.54 | 5.359 | 88.0 |
| 28.16 | 3.169 | 84.7 |
| 36.45 | 2.465 | 77.3 |
| 37.98 | 2.369 | 100.0 |
| 42.60 | 2.122 | 59.8 |
| 46.04 | 1.972 | 62.6 |
| 46.17 | 1.966 | 42.1 |
| 49.90 | 1.828 | 50.7 |
| 51.13 | 1.786 | 22.2 |
| 67.25 | 1.392 | 38.5 |

3.
Computed powder diffractogram
Compound: PaNi22B6
Radiation: λ = 1.5418 Å (Cu Kα)
Structure: a PBE-relaxed structure

```
29
Lattice="0.000 5.301 5.301 5.301 0.000 5.301 5.301 5.301 0.000" Properties=species:S:1:pos:R:3 pbc="T T T"
Pa 0.000 0.000 0.000
Ni 1.822 1.822 0.000
Ni 3.479 3.479 0.000
Ni 1.822 0.000 1.822
Ni 5.301 3.479 1.822
Ni 3.479 0.000 3.479
Ni 5.301 1.822 3.479
Ni 6.542 4.061 4.061
Ni 2.651 2.651 2.651
Ni 0.000 1.822 1.822
Ni 3.479 5.301 1.822
Ni 3.479 1.822 5.301
Ni 4.061 4.061 4.061
Ni 6.542 6.542 4.061
Ni 6.542 4.061 6.542
Ni 4.061 6.542 4.061
Ni 4.061 4.061 6.542
Ni 6.542 6.542 6.542
Ni 0.000 3.479 3.479
Ni 1.822 5.301 3.479
Ni 1.822 3.479 5.301
Ni 7.952 7.952 7.952
Ni 4.061 6.542 6.542
B 5.301 5.301 2.925
B 5.301 2.925 5.301
B 7.678 5.301 5.301
B 2.925 5.301 5.301
B 5.301 7.678 5.301
B 5.301 5.301 7.678
```

Peak list (10 most intense, 2θ = 5–70°, sorted by position)
| 2θ/deg | d (Å) | intensity |
| --- | --- | --- |
| 14.47 | 6.122 | 18.6 |
| 16.72 | 5.301 | 6.3 |
| 27.91 | 3.197 | 17.9 |
| 29.18 | 3.061 | 9.9 |
| 41.73 | 2.164 | 38.0 |
| 44.40 | 2.041 | 100.0 |
| 48.57 | 1.874 | 23.3 |
| 51.73 | 1.767 | 16.5 |
| 54.76 | 1.676 | 5.7 |
| 56.95 | 1.617 | 5.5 |

4.
Computed powder diffractogram
Compound: Pa2Ni5B4
Radiation: λ = 1.5418 Å (Cu Kα)
Structure: a PBE-relaxed structure

```
11
Lattice="4.793 -2.532 0.000 4.793 2.532 0.000 -3.230 0.000 5.393" Properties=species:S:1:pos:R:3 pbc="T T T"
Pa 1.859 0.000 0.785
Pa 4.497 0.000 4.608
Ni 1.952 1.287 3.336
Ni 4.403 1.287 2.057
Ni 4.793 0.000 0.000
Ni 1.952 -1.287 3.336
Ni 4.403 -1.287 2.057
B -1.248 0.000 3.512
B 0.401 0.000 3.765
B 5.955 0.000 1.628
B 7.603 0.000 1.880
```

Peak list (10 most intense, 2θ = 5–70°, sorted by position)
| 2θ/deg | d (Å) | intensity |
| --- | --- | --- |
| 22.67 | 3.923 | 85.0 |
| 29.81 | 2.997 | 100.0 |
| 33.15 | 2.702 | 97.2 |
| 33.52 | 2.674 | 52.5 |
| 34.14 | 2.626 | 62.4 |
| 37.13 | 2.421 | 83.4 |
| 39.31 | 2.292 | 80.2 |
| 41.90 | 2.156 | 65.1 |
| 43.36 | 2.087 | 61.7 |
| 44.15 | 2.051 | 58.7 |

5.
Computed powder diffractogram
Compound: Ni21B6Pd2
Radiation: λ = 1.5418 Å (Cu Kα)
Structure: a PBE-relaxed structure

```
29
Lattice="0.000 5.266 5.266 5.266 0.000 5.266 5.266 5.266 0.000" Properties=species:S:1:pos:R:3 pbc="T T T"
Ni 0.000 0.000 0.000
Ni 1.779 1.779 0.000
Ni 3.487 3.487 0.000
Ni 1.779 0.000 1.779
Ni 5.266 3.487 1.779
Ni 3.487 0.000 3.487
Ni 5.266 1.779 3.487
Ni 6.480 4.052 4.052
Ni 0.000 1.779 1.779
Ni 3.487 5.266 1.779
Ni 3.487 1.779 5.266
Ni 4.052 4.052 4.052
Ni 6.480 6.480 4.052
Ni 6.480 4.052 6.480
Ni 4.052 6.480 4.052
Ni 4.052 4.052 6.480
Ni 6.480 6.480 6.480
Ni 0.000 3.487 3.487
Ni 1.779 5.266 3.487
Ni 1.779 3.487 5.266
Ni 4.052 6.480 6.480
B 5.266 5.266 2.872
B 5.266 2.872 5.266
B 7.660 5.266 5.266
B 2.872 5.266 5.266
B 5.266 7.660 5.266
B 5.266 5.266 7.660
Pd 2.633 2.633 2.633
Pd 7.899 7.899 7.899
```

Peak list (10 most intense, 2θ = 5–70°, sorted by position)
| 2θ/deg | d (Å) | intensity |
| --- | --- | --- |
| 16.84 | 5.266 | 3.4 |
| 38.22 | 2.355 | 42.8 |
| 42.03 | 2.150 | 43.4 |
| 44.71 | 2.027 | 100.0 |
| 48.92 | 1.862 | 26.3 |
| 51.32 | 1.780 | 25.9 |
| 52.10 | 1.755 | 6.5 |
| 55.15 | 1.665 | 5.3 |
| 57.37 | 1.606 | 2.7 |
| 58.09 | 1.588 | 11.9 |

6.
Computed powder diffractogram
Compound: Rb2NiBPd
Radiation: λ = 1.5418 Å (Cu Kα)
Structure: a PBE-relaxed structure

```
5
Lattice="6.247 0.000 0.000 0.000 6.247 0.000 0.000 0.000 4.641" Properties=species:S:1:pos:R:3 pbc="T T T"
Rb 0.000 3.124 0.000
Rb 3.124 0.000 0.000
Ni 0.000 0.000 0.000
B 3.124 3.124 2.321
Pd 0.000 0.000 2.321
```

Peak list (10 most intense, 2θ = 5–70°, sorted by position)
| 2θ/deg | d (Å) | intensity |
| --- | --- | --- |
| 14.18 | 6.247 | 100.0 |
| 27.88 | 3.200 | 75.5 |
| 28.58 | 3.124 | 88.6 |
| 32.04 | 2.794 | 28.3 |
| 38.80 | 2.321 | 19.0 |
| 40.86 | 2.209 | 32.8 |
| 48.89 | 1.863 | 38.3 |
| 50.19 | 1.818 | 28.5 |
| 51.17 | 1.785 | 14.8 |
| 57.61 | 1.600 | 23.1 |